Simulated powder XRD pattern
Compound: SrLi2Te2
Radiation: Cu Kα (weighted mean of Kα1 and Kα2)
Structure: a GGA-PBE-relaxed structure
Kinematic intensities with the Lorentz-polarization factor, no thermal factor.

Main lines, by intensity (2θ from 5° to 70°):
Position (°2θ)  d (Å)  intensity
27.87  3.201  100
29.56  3.022  59
51.41  1.777  36
37.49  2.399  33
42.29  2.137  25
57.78  1.596  18
21.68  4.099  16
59.48  1.554  15
38.80  2.321  15
67.81  1.382  12

Crystal structure
abc: 4.274 4.274 14.495
angles: 90.00 90.00 90.00
Space group I4/mmm (No. 139)
One atom of each set of equivalent atoms:
1 Sr 0.000 0.000 0.000 (multiplicity 2)
2 Li 0.000 0.500 0.250 (multiplicity 4)
3 Te 0.000 0.000 0.370 (multiplicity 4)


Simulated powder XRD pattern
Compound: Sr3LiTe3
Radiation: Cu Kα (weighted mean of Kα1 and Kα2)
Structure: a GGA-PBE-relaxed structure
Kinematic intensities with the Lorentz-polarization factor, no thermal factor.

Main lines, by intensity (2θ from 5° to 70°):
Position (°2θ)  d (Å)  intensity
26.37  3.379  100
37.53  2.396  72
26.22  3.399  46
37.64  2.390  38
46.45  1.955  36
61.36  1.511  16
61.25  1.513  14
61.03  1.518  12
67.92  1.380  11
67.82  1.382  10

Crystal structure
abc: 20.251 6.799 13.534
angles: 90.00 90.00 90.00
Space group Cmce (No. 64)
One atom of each set of equivalent atoms:
1 Sr 0.000 0.203 0.142 (multiplicity 8)
2 Sr 0.173 0.219 0.866 (multiplicity 16)
3 Li 0.083 0.000 0.500 (multiplicity 8)
4 Te 0.000 0.223 0.385 (multiplicity 8)
5 Te 0.163 0.228 0.619 (multiplicity 16)


Simulated powder XRD pattern
Compound: Sr3Li7Tl2
Radiation: Cu Kα (weighted mean of Kα1 and Kα2)
Structure: a GGA-PBE-relaxed structure
Kinematic intensities with the Lorentz-polarization factor, no thermal factor.

Main lines, by intensity (2θ from 5° to 70°):
Position (°2θ)  d (Å)  intensity
8.85  9.989  100
33.62  2.666  97
28.31  3.152  90
17.76  4.995  66
29.72  3.006  38
39.36  2.289  38
20.12  4.413  31
53.59  1.710  26
54.37  1.687  25
46.39  1.957  19

Crystal structure
abc: 6.3049 6.3049 29.9673
angles: 90.00 90.00 120.00
Space group R-3m (No. 166, hexagonal axes)
One atom of each set of equivalent atoms:
1 Sr 0.0000 0.0000 0.0000 (multiplicity 3)
2 Sr 0.0000 0.0000 0.1409 (multiplicity 6)
3 Li 0.0000 0.0000 0.5000 (multiplicity 3)
4 Li 0.0031 0.5015 0.0769 (multiplicity 18)
5 Tl 0.0000 0.0000 0.3321 (multiplicity 6)


Simulated powder XRD pattern
Compound: SrLi6Tl2
Radiation: Cu Kα (weighted mean of Kα1 and Kα2)
Structure: a GGA-PBE-relaxed structure
Kinematic intensities with the Lorentz-polarization factor, no thermal factor.

Main lines, by intensity (2θ from 5° to 70°):
Position (°2θ)  d (Å)  intensity
9.02  9.803  100
33.42  2.681  55
26.89  3.316  48
18.93  4.689  46
28.42  3.141  34
51.80  1.765  33
26.30  3.388  26
38.40  2.344  22
38.69  2.327  18
41.58  2.172  18

Crystal structure
abc: 4.689 4.689 9.803
angles: 90.00 90.00 90.00
Space group P4/mmm (No. 123)
One atom of each set of equivalent atoms:
1 Sr 0.000 0.000 0.000 (multiplicity 1)
2 Li 0.000 0.000 0.500 (multiplicity 1)
3 Li 0.000 0.500 0.314 (multiplicity 4)
4 Li 0.500 0.500 0.500 (multiplicity 1)
5 Tl 0.500 0.500 0.157 (multiplicity 2)


Simulated powder XRD pattern
Compound: SrLiTl4
Radiation: Cu Kα (weighted mean of Kα1 and Kα2)
Structure: a GGA-PBE-relaxed structure
Kinematic intensities with the Lorentz-polarization factor, no thermal factor.

Main lines, by intensity (2θ from 5° to 70°):
Position (°2θ)  d (Å)  intensity
32.53  2.752  100
34.02  2.635  87
16.82  5.270  84
57.08  1.614  37
52.06  1.757  36
68.14  1.376  36
39.49  2.282  34
43.20  2.094  24
59.96  1.543  19
67.26  1.392  13

Crystal structure
abc: 9.128 9.128 9.128
angles: 90.00 90.00 90.00
Space group F-43m (No. 216)
One atom of each set of equivalent atoms:
1 Sr 0.000 0.000 0.000 (multiplicity 4)
2 Li 0.250 0.250 0.250 (multiplicity 4)
3 Tl 0.125 0.125 0.625 (multiplicity 16)


Simulated powder XRD pattern
Compound: Sr3Li2Tl
Radiation: Cu Kα (weighted mean of Kα1 and Kα2)
Structure: a GGA-PBE-relaxed structure
Kinematic intensities with the Lorentz-polarization factor, no thermal factor.

Main lines, by intensity (2θ from 5° to 70°):
Position (°2θ)  d (Å)  intensity
7.09  12.469  100
30.30  2.950  84
30.18  2.961  43
53.68  1.708  33
22.39  3.970  26
14.21  6.235  26
25.62  3.476  16
43.21  2.094  16
53.90  1.701  16
31.04  2.881  15

Crystal structure
abc: 4.188 4.188 12.469
angles: 90.00 90.00 90.00
Space group P4/mmm (No. 123)
One atom of each set of equivalent atoms:
1 Sr 0.000 0.000 0.000 (multiplicity 1)
2 Sr 0.000 0.000 0.345 (multiplicity 2)
3 Li 0.500 0.500 0.173 (multiplicity 2)
4 Tl 0.500 0.500 0.500 (multiplicity 1)